Simulated X-ray powder pattern
Compound: Zr9VO20
Radiation: Cu Kα X-rays
Structure: the PBE+U geometry in Alexandria
No peak broadening, texture or thermal motion is included.

Atomic structure:
```
Zr9VO20
1.0
6.535 0.000 0.000
2.079 6.649 0.000
0.517 1.101 8.363
Zr V O
9 1 20
Cartesian
0.000 0.000 0.000
1.765 4.227 7.837
2.451 2.407 4.579
3.923 4.188 1.771
3.179 0.671 1.154
5.085 3.612 6.716
6.346 6.758 6.179
5.835 1.688 3.423
7.111 4.873 2.816
3.041 5.823 5.079
2.243 6.324 6.712
1.660 4.513 1.066
1.118 0.748 3.975
1.300 1.536 0.831
2.819 4.630 3.538
2.826 3.907 6.078
2.544 1.132 6.121
3.916 5.745 0.407
3.529 2.789 0.121
3.503 2.070 2.774
4.854 5.290 5.438
5.268 5.741 2.507
4.744 2.169 5.134
4.825 1.394 7.804
5.770 3.293 2.047
6.454 5.126 7.448
5.462 0.331 1.801
7.421 6.277 4.428
6.946 2.719 7.072
7.141 3.266 4.154
```

Peak list (10 most intense, 2θ from 10° to 90°, most intense first)
2theta, Rel. int., index
30.41, 100.0, 2 0 1
25.89, 64.2, 1 0 -2
31.76, 39.4, 1 2 2
45.18, 31.0, 3 0 -1
52.69, 27.7, 3 2 3
33.26, 23.9, 2 2 0
23.66, 21.1, 0 1 2
34.98, 19.8, -1 2 1
52.15, 18.7, 2 -2 2
59.87, 18.6, 1 1 -5